No. 1
For SrEuTi4O12, a structure optimized by DFT (GGA-PBE) gives the simulated powder diffraction line list in this record (Cu Kα, 1.54184 Å).
Intensities are scaled so that the largest is 100.

Structure:
a = 5.505 Å, b = 5.505 Å, c = 7.783 Å
α = 90.00°, β = 90.00°, γ = 90.00°
Fractional coordinates of all 18 atoms:
Sr  0.000  0.000  0.000
Eu  0.500  0.500  0.500
Ti  0.000  0.500  0.249
Ti  0.000  0.500  0.751
Ti  0.500  0.000  0.249
Ti  0.500  0.000  0.751
O  0.000  0.500  0.000
O  0.000  0.500  0.500
O  0.253  0.253  0.257
O  0.253  0.253  0.743
O  0.253  0.747  0.257
O  0.253  0.747  0.743
O  0.500  0.000  0.000
O  0.500  0.000  0.500
O  0.747  0.253  0.257
O  0.747  0.253  0.743
O  0.747  0.747  0.257
O  0.747  0.747  0.743

The 12 most intense peaks (10° ≤ 2θ ≤ 90°), sorted by position:
2θ 19.8, intensity 100; 2θ 32.5, intensity 100; 2θ 38.4, intensity 56; 2θ 40.1, intensity 17; 2θ 46.7, intensity 50; 2θ 51.1, intensity 24; 2θ 58.0, intensity 38; 2θ 61.9, intensity 18; 2θ 68.1, intensity 28; 2θ 71.7, intensity 18; 2θ 77.6, intensity 16; 2θ 86.6, intensity 9

---

No. 2
For SrEuZrTiO6, a structure optimized by DFT (GGA-PBE) gives the simulated powder diffraction line list in this record (Cu Kα, 1.54184 Å).
Intensities are scaled so that the largest is 100.

Structure:
a = 5.746 Å, b = 5.746 Å, c = 5.746 Å
α = 60.00°, β = 60.00°, γ = 60.00°
Fractional coordinates of all 10 atoms:
Sr  0.000  0.000  0.000
Eu  0.500  0.500  0.500
Zr  0.250  0.250  0.250
Ti  0.750  0.750  0.750
O  0.508  0.508  0.992
O  0.508  0.992  0.508
O  0.508  0.992  0.992
O  0.992  0.508  0.508
O  0.992  0.508  0.992
O  0.992  0.992  0.508

The 12 most intense peaks (10° ≤ 2θ ≤ 90°), sorted by position:
2θ 18.9, intensity 10; 2θ 21.9, intensity 3; 2θ 31.1, intensity 100; 2θ 36.7, intensity 7; 2θ 38.4, intensity 12; 2θ 44.6, intensity 34; 2θ 48.9, intensity 3; 2θ 55.4, intensity 39; 2θ 64.9, intensity 20; 2θ 73.7, intensity 17; 2θ 78.0, intensity 4; 2θ 82.2, intensity 7

---

No. 3
For SrEuZr4O12, a structure optimized by DFT (GGA-PBE) gives the simulated powder diffraction line list in this record (Cu Kα, 1.54184 Å).
Intensities are scaled so that the largest is 100.

Structure:
a = 8.304 Å, b = 5.818 Å, c = 5.818 Å
α = 89.88°, β = 90.00°, γ = 90.00°
Fractional coordinates of all 18 atoms:
Sr  0.000  0.000  0.000
Eu  0.500  0.457  0.457
Zr  0.248  0.485  0.960
Zr  0.248  0.960  0.485
Zr  0.752  0.485  0.960
Zr  0.752  0.960  0.485
O  0.000  0.421  0.974
O  0.000  0.974  0.421
O  0.205  0.785  0.785
O  0.283  0.206  0.206
O  0.284  0.268  0.671
O  0.284  0.671  0.268
O  0.500  0.512  0.891
O  0.500  0.891  0.512
O  0.716  0.268  0.671
O  0.716  0.671  0.268
O  0.717  0.206  0.206
O  0.795  0.785  0.785

The 12 most intense peaks (10° ≤ 2θ ≤ 90°), sorted by position:
2θ 18.6, intensity 72; 2θ 21.6, intensity 16; 2θ 30.6, intensity 100; 2θ 30.7, intensity 51; 2θ 35.9, intensity 12; 2θ 36.2, intensity 22; 2θ 43.6, intensity 18; 2θ 44.0, intensity 32; 2θ 48.0, intensity 11; 2θ 54.3, intensity 23; 2θ 54.6, intensity 43; 2θ 63.7, intensity 18

---

- Which formula does entry 1 have?
  SrEuTi4O12

---

What did the third record say?
For SrEuZr4O12, a structure optimized by DFT (GGA-PBE) gives the simulated powder diffraction line list in this record (Cu Kα, 1.54184 Å).
Intensities are scaled so that the largest is 100.

Structure:
a = 8.304 Å, b = 5.818 Å, c = 5.818 Å
α = 89.88°, β = 90.00°, γ = 90.00°
Fractional coordinates of all 18 atoms:
Sr  0.000  0.000  0.000
Eu  0.500  0.457  0.457
Zr  0.248  0.485  0.960
Zr  0.248  0.960  0.485
Zr  0.752  0.485  0.960
Zr  0.752  0.960  0.485
O  0.000  0.421  0.974
O  0.000  0.974  0.421
O  0.205  0.785  0.785
O  0.283  0.206  0.206
O  0.284  0.268  0.671
O  0.284  0.671  0.268
O  0.500  0.512  0.891
O  0.500  0.891  0.512
O  0.716  0.268  0.671
O  0.716  0.671  0.268
O  0.717  0.206  0.206
O  0.795  0.785  0.785

The 12 most intense peaks (10° ≤ 2θ ≤ 90°), sorted by position:
2θ 18.6, intensity 72; 2θ 21.6, intensity 16; 2θ 30.6, intensity 100; 2θ 30.7, intensity 51; 2θ 35.9, intensity 12; 2θ 36.2, intensity 22; 2θ 43.6, intensity 18; 2θ 44.0, intensity 32; 2θ 48.0, intensity 11; 2θ 54.3, intensity 23; 2θ 54.6, intensity 43; 2θ 63.7, intensity 18